# 1
Theoretical powder diffractogram of NaPm4Sn4 for Cu Kα, 1.54184 Å, from DFT lattice parameters and positions (GGA-PBE).
Intensities are scaled so that the largest is 100.

Cell and atoms:
```
NaPm4Sn4
1.0
9.2181 0.0000 0.0000
0.0000 9.2181 0.0000
0.0000 0.0000 6.4674
Na Pm Sn
2 8 8
Direct
0.2500 0.2500 0.2500
0.7500 0.7500 0.7500
0.0287 0.6716 0.1070
0.1716 0.9713 0.6070
0.3284 0.5287 0.6070
0.4713 0.8284 0.1070
0.5287 0.1716 0.8930
0.6716 0.4713 0.3930
0.8284 0.0287 0.3930
0.9713 0.3284 0.8930
0.0142 0.6468 0.5954
0.1468 0.9858 0.0954
0.3532 0.5142 0.0954
0.4858 0.8532 0.5954
0.5142 0.1468 0.4046
0.6468 0.4858 0.9046
0.8532 0.0142 0.9046
0.9858 0.3532 0.4046
```

The 10 most intense peaks (5° ≤ 2θ ≤ 70°), by intensity:
2θ 30.7, I 100
2θ 35.3, I 62
2θ 29.3, I 44
2θ 45.2, I 33
2θ 49.6, I 30
2θ 43.9, I 23
2θ 61.3, I 18
2θ 27.4, I 17
2θ 19.3, I 17
2θ 66.1, I 15



# 2
Theoretical powder diffractogram of NaPm7Sn4 for Cu Kα, 1.54184 Å, from DFT lattice parameters and positions (GGA-PBE).
Intensities are scaled so that the largest is 100.

Cell and atoms:
```
NaPm7Sn4
1.0
7.3969 -2.8414 0.0000
7.3969 2.8414 0.0000
-6.8685 0.0000 9.1489
Na Pm Sn
1 7 4
Direct
0.0000 0.0000 0.0000
0.0742 0.0742 0.3382
0.2131 0.2131 0.8675
0.3430 0.3430 0.4146
0.5000 0.5000 0.0000
0.6570 0.6570 0.5854
0.7869 0.7869 0.1325
0.9258 0.9258 0.6618
0.2947 0.2947 0.6660
0.4254 0.4254 0.2182
0.5746 0.5746 0.7818
0.7053 0.7053 0.3340
```

The 10 most intense peaks (5° ≤ 2θ ≤ 70°), by intensity:
2θ 33.6, I 100
2θ 34.8, I 81
2θ 31.5, I 68
2θ 32.4, I 44
2θ 45.8, I 34
2θ 22.4, I 29
2θ 57.4, I 22
2θ 26.5, I 19
2θ 58.2, I 19
2θ 62.4, I 17



# 3
Theoretical powder diffractogram of NaPm5Sn3 for Cu Kα, 1.54184 Å, from DFT lattice parameters and positions (GGA-PBE).
Intensities are scaled so that the largest is 100.

Cell and atoms:
```
NaPm5Sn3
1.0
9.6124 0.0000 0.0000
-4.8062 8.3246 0.0000
0.0000 0.0000 6.5988
Na Pm Sn
2 10 6
Direct
0.0000 0.0000 0.0000
0.0000 0.0000 0.5000
0.0000 0.3159 0.2500
0.0000 0.6841 0.7500
0.3159 0.0000 0.2500
0.3159 0.3159 0.7500
0.3333 0.6667 0.0000
0.3333 0.6667 0.5000
0.6667 0.3333 0.0000
0.6667 0.3333 0.5000
0.6841 0.0000 0.7500
0.6841 0.6841 0.2500
0.0000 0.3482 0.7500
0.0000 0.6518 0.2500
0.3482 0.0000 0.7500
0.3482 0.3482 0.2500
0.6518 0.0000 0.2500
0.6518 0.6518 0.7500
```

The 10 most intense peaks (5° ≤ 2θ ≤ 70°), by intensity:
2θ 32.3, I 100
2θ 32.9, I 81
2θ 58.0, I 31
2θ 46.8, I 29
2θ 65.9, I 26
2θ 57.5, I 18
2θ 42.6, I 17
2θ 10.6, I 14
2θ 67.5, I 11
2θ 27.0, I 10



# 4
Theoretical powder diffractogram of NaPm3Te4 for Cu Kα, 1.54184 Å, from DFT lattice parameters and positions (GGA-PBE).
Intensities are scaled so that the largest is 100.

Cell and atoms:
```
NaPm3Te4
1.0
4.5175 -6.3373 0.0000
4.5175 6.3373 0.0000
0.0000 0.0000 4.4524
Na Pm Te
1 3 4
Direct
0.0000 0.0000 0.0000
0.0000 0.5000 0.5000
0.5000 0.0000 0.5000
0.5000 0.5000 0.0000
0.2484 0.7516 0.0000
0.2497 0.2497 0.5000
0.7503 0.7503 0.5000
0.7516 0.2484 0.0000
```

The 10 most intense peaks (5° ≤ 2θ ≤ 70°), by intensity:
2θ 28.1, I 100
2θ 40.2, I 51
2θ 65.9, I 23
2θ 49.6, I 14
2θ 50.1, I 13
2θ 39.9, I 13
2θ 58.2, I 13
2θ 40.5, I 12
2θ 12.0, I 7
2θ 65.4, I 6



# 5
Theoretical powder diffractogram of Na2PmTh2Te6 for Cu Kα, 1.54184 Å, from DFT lattice parameters and positions (GGA-PBE).
Intensities are scaled so that the largest is 100.

Cell and atoms:
```
Na2PmTh2Te6
1.0
3.8585 -6.7026 0.0000
3.8585 6.7026 0.0000
-2.5685 0.0000 7.6709
Na Pm Th Te
2 1 2 6
Direct
0.1656 0.8344 0.0000
0.8344 0.1656 0.0000
0.0000 0.0000 0.5000
0.3331 0.6669 0.5000
0.6669 0.3331 0.5000
0.0817 0.4157 0.7404
0.2581 0.2581 0.2598
0.4157 0.0817 0.7404
0.5843 0.9183 0.2596
0.7419 0.7419 0.7402
0.9183 0.5843 0.2596
```

The 10 most intense peaks (5° ≤ 2θ ≤ 70°), by intensity:
2θ 27.8, I 100
2θ 11.5, I 44
2θ 39.0, I 40
2θ 40.4, I 37
2θ 23.3, I 22
2θ 64.0, I 18
2θ 49.8, I 14
2θ 42.2, I 12
2θ 66.0, I 11
2θ 35.9, I 11



# 6
Theoretical powder diffractogram of Na2PmUTe4 for Cu Kα, 1.54184 Å, from DFT lattice parameters and positions (GGA-PBE).
Intensities are scaled so that the largest is 100.

Cell and atoms:
```
Na2PmUTe4
1.0
7.7567 0.0000 0.0000
0.0000 4.4799 0.0000
-2.5928 0.0000 7.5893
Na Pm U Te
2 1 1 4
Direct
0.0000 0.0000 0.0000
0.5000 0.5000 0.0000
0.0000 0.5000 0.5000
0.5000 0.0000 0.5000
0.2491 0.0000 0.7386
0.2573 0.5000 0.2635
0.7427 0.5000 0.7365
0.7509 0.0000 0.2614
```

The 10 most intense peaks (5° ≤ 2θ ≤ 70°), by intensity:
2θ 27.8, I 100
2θ 39.3, I 39
2θ 11.7, I 38
2θ 40.3, I 37
2θ 49.7, I 20
2θ 64.4, I 18
2θ 23.3, I 18
2θ 57.5, I 13
2θ 65.8, I 12
2θ 42.1, I 11



# 7
Theoretical powder diffractogram of NaPmTl4 for Cu Kα, 1.54184 Å, from DFT lattice parameters and positions (GGA-PBE).
Intensities are scaled so that the largest is 100.

Cell and atoms:
```
NaPmTl4
1.0
3.6640 0.0000 0.0000
-0.0195 5.1189 0.0000
-0.4835 -0.0369 9.2850
Na Pm Tl
1 1 4
Direct
0.0000 0.0000 0.0000
0.9990 0.5000 0.4990
0.3714 0.9999 0.3346
0.3826 0.5001 0.8345
0.6136 0.5000 0.1640
0.6305 0.0003 0.6652
```

The 10 most intense peaks (5° ≤ 2θ ≤ 70°), by intensity:
2θ 31.2, I 100
2θ 31.9, I 46
2θ 33.8, I 43
2θ 33.9, I 43
2θ 35.1, I 41
2θ 45.2, I 18
2θ 19.8, I 18
2θ 58.4, I 17
2θ 24.3, I 17
2θ 59.7, I 16



# 8
Theoretical powder diffractogram of NaPr2Pt9 for Cu Kα, 1.54184 Å, from DFT lattice parameters and positions (GGA-PBE).
Intensities are scaled so that the largest is 100.

Cell and atoms:
```
NaPr2Pt9
1.0
2.7474 1.5862 8.8363
-2.7474 1.5862 8.8363
0.0000 -3.1725 8.8363
Na Pr Pt
1 2 9
Direct
0.0000 0.0000 0.0000
0.1363 0.1363 0.1363
0.8637 0.8637 0.8637
0.0798 0.5858 0.5858
0.3321 0.3321 0.3321
0.4142 0.4142 0.9202
0.4142 0.9202 0.4142
0.5000 0.5000 0.5000
0.5858 0.0798 0.5858
0.5858 0.5858 0.0798
0.6679 0.6679 0.6679
0.9202 0.4142 0.4142
```

The 10 most intense peaks (5° ≤ 2θ ≤ 70°), by intensity:
2θ 38.6, I 100
2θ 41.6, I 75
2θ 18.9, I 59
2θ 42.0, I 33
2θ 68.3, I 32
2θ 45.0, I 30
2θ 38.0, I 29
2θ 40.8, I 29
2θ 62.2, I 25
2θ 40.3, I 25



# 9
Theoretical powder diffractogram of NaPr2Pt for Cu Kα, 1.54184 Å, from DFT lattice parameters and positions (GGA-PBE).
Intensities are scaled so that the largest is 100.

Cell and atoms:
```
NaPr2Pt
1.0
2.1420 1.2367 9.3014
-2.1420 1.2367 9.3014
0.0000 -2.4734 9.3014
Na Pr Pt
1 2 1
Direct
0.0000 0.0000 0.0000
0.2209 0.2209 0.2209
0.7791 0.7791 0.7791
0.5000 0.5000 0.5000
```

The 10 most intense peaks (5° ≤ 2θ ≤ 70°), by intensity:
2θ 9.5, I 100
2θ 27.2, I 52
2θ 33.0, I 33
2θ 42.2, I 22
2θ 43.3, I 16
2θ 43.2, I 15
2θ 52.1, I 10
2θ 50.9, I 9
2θ 35.3, I 9
2θ 40.4, I 8



# 10
Theoretical powder diffractogram of NaTb4PrS8 for Cu Kα, 1.54184 Å, from DFT lattice parameters and positions (GGA-PBE).
Intensities are scaled so that the largest is 100.

Cell and atoms:
```
NaTb4PrS8
1.0
4.0751 2.3528 6.7699
-4.0751 2.3528 6.7699
0.0000 -4.7056 6.7699
Na Tb Pr S
1 4 1 8
Direct
0.0000 0.0000 0.0000
0.1134 0.6309 0.6309
0.2524 0.2524 0.2524
0.6309 0.1134 0.6309
0.6309 0.6309 0.1134
0.6303 0.6303 0.6303
0.3791 0.3791 0.8558
0.3791 0.8558 0.3791
0.3845 0.3845 0.3845
0.4082 0.8708 0.8708
0.8558 0.3791 0.3791
0.8647 0.8647 0.8647
0.8708 0.4082 0.8708
0.8708 0.8708 0.4082
```

The 10 most intense peaks (5° ≤ 2θ ≤ 70°), by intensity:
2θ 25.5, I 100
2θ 30.9, I 79
2θ 43.9, I 66
2θ 44.5, I 65
2θ 25.6, I 54
2θ 13.3, I 51
2θ 25.3, I 49
2θ 40.5, I 38
2θ 26.7, I 31
2θ 40.6, I 31



# 11
Theoretical powder diffractogram of NaPr2US6 for Cu Kα, 1.54184 Å, from DFT lattice parameters and positions (GGA-PBE).
Intensities are scaled so that the largest is 100.

Cell and atoms:
```
NaPr2US6
1.0
3.5573 2.0538 6.2409
-3.5573 2.0538 6.2409
0.0000 -4.1077 6.2409
Na Pr U S
1 2 1 6
Direct
0.0000 0.0000 0.0000
0.2816 0.2816 0.2816
0.7930 0.7930 0.7930
0.4848 0.4848 0.4848
0.1111 0.6776 0.3978
0.2245 0.5974 0.8531
0.3978 0.1111 0.6776
0.5974 0.8531 0.2245
0.6776 0.3978 0.1111
0.8531 0.2245 0.5974
```

The 10 most intense peaks (5° ≤ 2θ ≤ 70°), by intensity:
2θ 25.0, I 100
2θ 23.9, I 92
2θ 38.4, I 92
2θ 15.1, I 72
2θ 44.1, I 54
2θ 28.9, I 53
2θ 34.9, I 49
2θ 17.2, I 49
2θ 43.4, I 48
2θ 14.2, I 32



# 12
Theoretical powder diffractogram of NaPrSb2 for Cu Kα, 1.54184 Å, from DFT lattice parameters and positions (GGA-PBE).
Intensities are scaled so that the largest is 100.

Cell and atoms:
```
NaPrSb2
1.0
3.1478 -5.5417 0.0000
3.1478 5.5417 0.0000
0.0000 0.0000 6.6049
Na Pr Sb
2 2 4
Direct
0.2500 0.2500 0.0000
0.7500 0.7500 0.0000
0.2500 0.7500 0.6829
0.7500 0.2500 0.3171
0.2500 0.2500 0.5000
0.2500 0.7500 0.1761
0.7500 0.2500 0.8240
0.7500 0.7500 0.5000
```

The 10 most intense peaks (5° ≤ 2θ ≤ 70°), by intensity:
2θ 32.7, I 100
2θ 31.5, I 70
2θ 31.6, I 54
2θ 32.3, I 52
2θ 39.6, I 35
2θ 52.0, I 31
2θ 39.3, I 30
2θ 13.4, I 25
2θ 16.0, I 23
2θ 58.4, I 19